For Tm3Mg3Zn2, DFT lattice parameters and positions (PBE) gives the theoretical powder X-ray diffraction pattern in this record (λ = 1.5418 Å (Cu Kα)).
Peak positions follow from Bragg's law for the DFT cell and can differ from measured ones.

Cell and atoms:
abc: 7.7293 7.7293 3.7177
angles: 90.00 90.00 120.00
Fractional positions:
Tm 0.0000 0.5859 0.0000
Tm 0.4141 0.4141 0.0000
Tm 0.5859 0.0000 0.0000
Mg 0.0000 0.2332 0.5000
Mg 0.2332 0.0000 0.5000
Mg 0.7668 0.7668 0.5000
Zn 0.3333 0.6667 0.5000
Zn 0.6667 0.3333 0.5000

Main lines, in order of rising 2θ (10 to 80 degrees two-theta):
Position (°2θ)	Rel. int.
13.2	47
23.0	43
33.4	100
36.1	59
49.1	44
55.3	38